The following is a theoretical XRD peak list of Be2Ni3Sn2. It was derived from DFT lattice parameters and positions (PBE), using a wavelength of 1.5418 Å.
Kinematic intensities with the Lorentz-polarization factor, no thermal factor.

Top 10 peaks for 10 to 80 degrees two-theta, by intensity:
| d [Å] | 2θ (°) | intensity |
| --- | --- | --- |
| 3.339 | 26.7 | 1000 |
| 2.048 | 44.2 | 937 |
| 2.026 | 44.7 | 818 |
| 1.739 | 52.6 | 307 |
| 3.290 | 27.1 | 304 |
| 1.440 | 64.7 | 267 |
| 1.746 | 52.4 | 165 |
| 2.208 | 40.9 | 154 |
| 1.329 | 70.9 | 138 |
| 1.725 | 53.1 | 123 |

Crystal structure
Cell lengths 6.9924, 6.9924, 6.9924 Å; angles 34.07, 34.07, 34.07 degrees
Sites, in units of the cell vectors:
Be: 0.0000 0.0000 0.0000
Be: 0.4969 0.4969 0.4969
Ni: 0.3699 0.3699 0.3699
Ni: 0.6259 0.6259 0.6259
Ni: 0.8791 0.8791 0.8791
Sn: 0.2397 0.2397 0.2397
Sn: 0.7549 0.7549 0.7549

---

The following is a theoretical XRD peak list of BeNiW2. It was derived from DFT lattice parameters and positions (PBE), using a wavelength of 1.5418 Å.
Kinematic intensities with the Lorentz-polarization factor, no thermal factor.

Top 9 peaks for 10 to 80 degrees two-theta, by intensity:
| d [Å] | 2θ (°) | intensity |
| --- | --- | --- |
| 2.123 | 42.6 | 1000 |
| 3.467 | 25.7 | 586 |
| 1.226 | 77.9 | 339 |
| 1.811 | 50.4 | 295 |
| 1.501 | 61.8 | 166 |
| 1.378 | 68.1 | 122 |
| 3.003 | 29.8 | 25 |
| 1.343 | 70.1 | 7 |
| 1.734 | 52.8 | 6 |

Crystal structure
Cell lengths 4.2462, 4.2462, 4.2462 Å; angles 60.00, 60.00, 60.00 degrees
Sites, in units of the cell vectors:
Be: 0.0000 0.0000 0.0000
Ni: 0.2500 0.2500 0.2500
W: 0.5000 0.5000 0.5000
W: 0.7500 0.7500 0.7500